# 1
Starting from a cell relaxed with PBE, the powder X-ray diffraction pattern of RbTl2PdBr8 was calculated for Cu Kα (λ = 1.5418 Å).

Largest 10 diffraction maxima, low angle first, 10° ≤ 2θ ≤ 90°:
15.8 deg, 5.607 Å, rel. 287; 18.5 deg, 4.794 Å, rel. 1000; 25.0 deg, 3.559 Å, rel. 337; 25.8 deg, 3.456 Å, rel. 836; 26.8 deg, 3.328 Å, rel. 344; 27.1 deg, 3.288 Å, rel. 317; 31.9 deg, 2.804 Å, rel. 410; 41.5 deg, 2.177 Å, rel. 287; 42.8 deg, 2.112 Å, rel. 731; 45.5 deg, 1.995 Å, rel. 559

Structural model:
```
12
Lattice="3.456 1.995 10.677 -3.456 1.995 10.677 0.000 -3.991 10.677" Properties=species:S:1:pos:R:3 pbc="T T T"
Rb 0.000 0.000 0.000
Tl 0.000 0.000 7.919
Tl 0.000 0.000 24.111
Pd 0.000 0.000 16.015
Br -0.902 -1.907 14.204
Br -1.201 -1.735 17.826
Br 0.000 0.000 10.577
Br -1.201 1.735 14.204
Br -0.902 1.907 17.826
Br 0.000 0.000 21.453
Br 2.103 0.173 14.204
Br 2.103 -0.173 17.826
```

---

# 2
Starting from a cell relaxed with PBE, the powder X-ray diffraction pattern of Pd2S4Br3 was calculated for Cu Kα (λ = 1.5418 Å).

Largest 10 diffraction maxima, low angle first, 10° ≤ 2θ ≤ 90°:
12.2 deg, 7.247 Å, rel. 409; 15.8 deg, 5.603 Å, rel. 347; 17.9 deg, 4.946 Å, rel. 450; 20.0 deg, 4.433 Å, rel. 1000; 23.0 deg, 3.864 Å, rel. 588; 24.9 deg, 3.570 Å, rel. 362; 29.3 deg, 3.047 Å, rel. 285; 33.0 deg, 2.716 Å, rel. 268; 35.5 deg, 2.526 Å, rel. 417; 46.9 deg, 1.939 Å, rel. 281

Structural model:
```
18
Lattice="5.637 -7.247 0.000 5.637 7.247 0.000 -0.742 0.000 6.767" Properties=species:S:1:pos:R:3 pbc="T T T"
Pd 3.980 5.761 6.060
Pd 6.180 5.761 4.091
Pd 4.351 -5.761 2.676
Pd 6.552 -5.761 0.707
S 2.149 2.620 2.330
S 3.073 3.652 6.170
S 1.778 -2.620 5.714
S 7.087 3.652 3.980
S 3.444 -3.652 2.787
S 8.753 2.620 1.053
S 7.458 -3.652 0.597
S 8.382 -2.620 4.437
Br 5.451 6.552 1.692
Br 4.381 0.791 3.102
Br 4.010 -0.791 6.485
Br 6.522 0.791 0.282
Br 6.150 -0.791 3.665
Br 5.080 -6.552 5.075
```

---

# 3
Starting from a cell relaxed with PBE, the powder X-ray diffraction pattern of PdS3Br was calculated for Cu Kα (λ = 1.5418 Å).

Largest 10 diffraction maxima, low angle first, 10° ≤ 2θ ≤ 90°:
11.8 deg, 7.479 Å, rel. 1000; 22.8 deg, 3.909 Å, rel. 187; 25.7 deg, 3.464 Å, rel. 552; 27.6 deg, 3.230 Å, rel. 305; 30.0 deg, 2.975 Å, rel. 148; 33.2 deg, 2.702 Å, rel. 627; 35.4 deg, 2.537 Å, rel. 378; 44.1 deg, 2.053 Å, rel. 153; 46.0 deg, 1.973 Å, rel. 221; 48.1 deg, 1.891 Å, rel. 189

Structural model:
```
10
Lattice="6.456 0.000 0.000 0.000 7.479 0.000 0.000 0.000 4.911" Properties=species:S:1:pos:R:3 pbc="T T T"
Pd 0.000 0.010 0.000
Pd 3.228 7.469 2.456
S 0.000 5.846 2.873
S 1.474 6.181 1.396
S 1.753 1.298 3.852
S 3.228 1.633 0.418
S 4.702 1.298 3.852
S 4.981 6.181 1.396
Br 0.000 2.245 1.541
Br 3.228 5.234 3.996
```

---

# 4
Starting from a cell relaxed with PBE, the powder X-ray diffraction pattern of SbPd2Br was calculated for Cu Kα (λ = 1.5418 Å).

Largest 10 diffraction maxima, low angle first, 10° ≤ 2θ ≤ 90°:
27.8 deg, 3.214 Å, rel. 1000; 37.8 deg, 2.380 Å, rel. 428; 47.5 deg, 1.913 Å, rel. 439; 49.9 deg, 1.829 Å, rel. 385; 54.5 deg, 1.683 Å, rel. 143; 62.3 deg, 1.491 Å, rel. 95; 67.4 deg, 1.389 Å, rel. 77; 75.2 deg, 1.263 Å, rel. 107; 77.0 deg, 1.238 Å, rel. 203; 80.0 deg, 1.200 Å, rel. 94

Structural model:
```
8
Lattice="-3.366 3.366 4.358 3.366 -3.366 4.358 3.366 3.366 -4.358" Properties=species:S:1:pos:R:3 pbc="T T T"
Sb 0.000 0.000 0.000
Sb 0.000 3.366 2.179
Pd 5.049 1.589 -1.089
Pd 1.589 1.683 1.089
Pd -1.683 1.777 3.268
Pd 1.777 1.683 5.447
Br 3.366 0.000 2.179
Br 0.000 0.000 4.358
```

---

# 5
Starting from a cell relaxed with PBE, the powder X-ray diffraction pattern of Pd2Se2Br was calculated for Cu Kα (λ = 1.5418 Å).

Largest 10 diffraction maxima, low angle first, 10° ≤ 2θ ≤ 90°:
14.6 deg, 6.058 Å, rel. 1000; 27.9 deg, 3.201 Å, rel. 639; 31.1 deg, 2.880 Å, rel. 313; 32.2 deg, 2.779 Å, rel. 319; 32.5 deg, 2.754 Å, rel. 354; 33.0 deg, 2.718 Å, rel. 595; 36.8 deg, 2.443 Å, rel. 382; 42.5 deg, 2.128 Å, rel. 667; 44.7 deg, 2.028 Å, rel. 401; 49.2 deg, 1.852 Å, rel. 460

Structural model:
```
10
Lattice="5.958 0.000 0.000 0.005 6.254 0.000 1.379 3.115 6.058" Properties=species:S:1:pos:R:3 pbc="T T T"
Pd 0.722 3.322 2.339
Pd 3.640 6.449 3.722
Pd 3.702 2.920 2.336
Pd 6.621 6.047 3.719
Se 1.899 1.136 2.015
Se 2.463 4.260 4.043
Se 4.879 5.108 2.014
Se 5.443 8.233 4.043
Br 1.494 4.416 0.004
Br 5.849 4.953 6.054
```

---

# 6
Starting from a cell relaxed with PBE, the powder X-ray diffraction pattern of PdSe2Br was calculated for Cu Kα (λ = 1.5418 Å).

Largest 10 diffraction maxima, low angle first, 10° ≤ 2θ ≤ 90°:
12.1 deg, 7.296 Å, rel. 1000; 27.9 deg, 3.201 Å, rel. 374; 29.0 deg, 3.077 Å, rel. 369; 29.3 deg, 3.050 Å, rel. 455; 33.3 deg, 2.689 Å, rel. 307; 34.2 deg, 2.621 Å, rel. 321; 41.3 deg, 2.187 Å, rel. 562; 42.3 deg, 2.137 Å, rel. 305; 48.3 deg, 1.884 Å, rel. 275; 50.2 deg, 1.818 Å, rel. 336

Structural model:
```
16
Lattice="8.878 0.000 0.000 0.000 3.769 0.000 0.000 0.000 12.804" Properties=species:S:1:pos:R:3 pbc="T T T"
Pd 0.263 0.942 1.466
Pd 4.176 2.827 7.868
Pd 4.702 0.942 4.936
Pd 8.615 2.827 11.338
Se 1.275 0.942 11.854
Se 1.542 2.827 2.492
Se 2.896 0.942 8.895
Se 3.164 2.827 5.452
Se 5.714 0.942 7.352
Se 5.981 2.827 3.910
Se 7.335 0.942 10.312
Se 7.603 2.827 0.950
Br 0.763 0.942 7.805
Br 3.676 2.827 1.402
Br 5.202 0.942 11.402
Br 8.115 2.827 5.000
```

---

# 7
Starting from a cell relaxed with PBE, the powder X-ray diffraction pattern of PdSeBr3 was calculated for Cu Kα (λ = 1.5418 Å).

Largest 10 diffraction maxima, low angle first, 10° ≤ 2θ ≤ 90°:
11.0 deg, 8.076 Å, rel. 320; 12.3 deg, 7.188 Å, rel. 1000; 12.9 deg, 6.847 Å, rel. 490; 17.9 deg, 4.943 Å, rel. 163; 26.0 deg, 3.424 Å, rel. 345; 28.0 deg, 3.190 Å, rel. 128; 30.4 deg, 2.939 Å, rel. 208; 30.5 deg, 2.932 Å, rel. 279; 36.3 deg, 2.475 Å, rel. 152; 39.4 deg, 2.287 Å, rel. 136

Structural model:
```
20
Lattice="7.188 0.000 0.000 0.000 8.076 0.000 -0.150 0.000 12.911" Properties=species:S:1:pos:R:3 pbc="T T T"
Pd 0.403 1.129 1.490
Pd 0.327 6.948 7.946
Pd 6.711 1.129 4.966
Pd 6.635 6.948 11.421
Se 0.183 3.518 4.304
Se 0.108 4.559 10.760
Se 6.930 3.518 2.151
Se 6.855 4.559 8.607
Br 0.812 1.467 7.059
Br 0.887 6.610 0.603
Br 1.610 0.472 3.619
Br 1.535 7.605 10.075
Br 2.405 2.084 0.446
Br 2.330 5.993 6.901
Br 4.708 2.084 6.010
Br 4.633 5.993 12.466
Br 5.503 0.472 2.836
Br 5.428 7.605 9.292
Br 6.151 1.467 12.308
Br 6.226 6.610 5.853
```

---

# 8
Starting from a cell relaxed with PBE, the powder X-ray diffraction pattern of PdSe2Br6 was calculated for Cu Kα (λ = 1.5418 Å).

Largest 10 diffraction maxima, low angle first, 10° ≤ 2θ ≤ 90°:
12.4 deg, 7.143 Å, rel. 669; 13.7 deg, 6.485 Å, rel. 503; 19.7 deg, 4.498 Å, rel. 263; 21.5 deg, 4.133 Å, rel. 412; 22.2 deg, 4.011 Å, rel. 935; 25.1 deg, 3.550 Å, rel. 416; 27.5 deg, 3.245 Å, rel. 474; 30.4 deg, 2.943 Å, rel. 1000; 31.9 deg, 2.804 Å, rel. 427; 32.9 deg, 2.724 Å, rel. 609

Structural model:
```
9
Lattice="4.964 0.000 0.000 -0.129 7.359 0.000 -0.542 -2.324 9.386" Properties=species:S:1:pos:R:3 pbc="T T T"
Pd 0.000 0.000 0.000
Se 1.323 1.056 1.756
Se 2.970 3.979 7.630
Br 0.068 3.087 1.936
Br 0.810 0.085 3.857
Br 1.126 -1.018 8.114
Br 3.168 6.053 1.272
Br 3.483 4.950 5.530
Br 4.226 1.948 7.450
```